(1)
Structure and calculated XRD peak list of MgTcPb2S6 (a DFT-relaxed cell (GGA-PBE, OQMD); Cu Kα X-rays).
Kinematic intensities with the Lorentz-polarization factor, no thermal factor.

Cell and atoms:
abc: 7.0494 7.0494 7.0494
angles: 127.36 127.36 77.66
Fractional coordinates of all 10 atoms:
Mg1 0.0000 0.0000 0.0000
Tc1 0.5000 0.5000 0.0000
Pb1 0.2500 0.7500 0.5000
Pb2 0.7500 0.2500 0.5000
S1 0.1470 0.6358 0.7828
S2 0.2719 0.2719 0.0000
S3 0.3642 0.1470 0.5112
S4 0.6358 0.8530 0.4888
S5 0.7281 0.7281 0.0000
S6 0.8530 0.3642 0.2172

Principal peaks in the range 2θ = 15–90°, sorted by position:
2θ (°)	Rel. int.
20.09	36
25.87	100
28.56	76
32.61	43
32.99	54
40.83	33
43.89	46
48.97	63
53.20	29
70.06	23



(2)
Structure and calculated XRD peak list of MgTePbW (a DFT-relaxed cell (GGA-PBE, OQMD); Cu Kα X-rays).
Kinematic intensities with the Lorentz-polarization factor, no thermal factor.

Cell and atoms:
abc: 4.9367 4.9367 4.9367
angles: 60.00 60.00 60.00
Fractional coordinates of all 4 atoms:
Mg1 0.0000 0.0000 0.0000
Te1 0.2500 0.2500 0.2500
Pb1 0.7500 0.7500 0.7500
W1 0.5000 0.5000 0.5000

Principal peaks in the range 2θ = 15–90°, sorted by position:
2θ (°)	Rel. int.
22.05	25
25.52	6
36.40	100
42.97	14
52.42	18
57.54	6
65.50	36
77.31	11
81.58	5
88.59	17



(3)
Structure and calculated XRD peak list of MgZn2Pb (a DFT-relaxed cell (GGA-PBE, OQMD); Cu Kα X-rays).
Kinematic intensities with the Lorentz-polarization factor, no thermal factor.

Cell and atoms:
abc: 4.9121 4.9121 4.9121
angles: 60.00 60.00 60.00
Fractional coordinates of all 4 atoms:
Mg1 0.0000 0.0000 0.0000
Zn1 0.2500 0.2500 0.2500
Zn2 0.5000 0.5000 0.5000
Pb1 0.7500 0.7500 0.7500

Principal peaks in the range 2θ = 15–90°, sorted by position:
2θ (°)	Rel. int.
22.16	32
25.65	28
36.59	100
43.19	18
45.22	9
52.71	17
59.51	12
65.87	35
77.77	11
89.15	16



(4)
Structure and calculated XRD peak list of PrMg4SiPd2 (a DFT-relaxed cell (GGA-PBE, OQMD); Cu Kα X-rays).
Kinematic intensities with the Lorentz-polarization factor, no thermal factor.

Cell and atoms:
abc: 6.1668 13.6608 13.6608
angles: 12.20 90.00 90.00
Fractional coordinates of all 8 atoms:
Pr1 0.0000 0.0000 0.0000
Mg1 0.2603 0.1079 0.1079
Mg2 0.2636 0.8291 0.8291
Mg3 0.7364 0.8291 0.8291
Mg4 0.7397 0.1079 0.1079
Si1 0.0000 0.7500 0.7500
Pd1 0.0000 0.1820 0.1820
Pd2 0.0000 0.9016 0.9016

Principal peaks in the range 2θ = 15–90°, sorted by position:
2θ (°)	Rel. int.
19.44	100
24.39	40
30.97	94
31.87	59
34.29	90
36.13	42
41.50	48
44.02	44
49.07	51
50.73	47